This entry pairs a crystal structure of Pa2TaRhN5 with its computed X-ray powder pattern. Radiation: Cu Kα. Structure: the PBE geometry in Alexandria.
Intensities are scaled so that the largest is 100.

Largest 10 diffraction maxima, by angle, 15° ≤ 2θ ≤ 90°:
| 2theta | I/Imax |
| --- | --- |
| 27.7 | 41 |
| 29.0 | 35 |
| 29.3 | 100 |
| 32.7 | 87 |
| 34.1 | 63 |
| 35.2 | 37 |
| 38.2 | 89 |
| 43.0 | 24 |
| 48.0 | 22 |
| 63.8 | 24 |

Atomic structure:
```
18
Lattice="1.6618 -6.4480 0.0000 1.6618 6.4480 0.0000 0.0000 0.0000 10.3843" Properties=species:S:1:pos:R:3 pbc="T T T"
Pa 1.6618 5.1642 5.1922
Pa 1.6618 4.5873 1.3190
Pa 1.6618 -4.5873 6.5111
Pa 1.6618 -5.1642 0.0000
Ta 1.6618 3.8523 8.6718
Ta 1.6618 -3.8523 3.4796
Rh 1.6618 0.3692 2.8213
Rh 1.6618 -0.3692 8.0135
N 1.6618 5.7086 9.4142
N 1.6618 2.8863 4.9601
N 1.6618 2.3743 2.0264
N 1.6618 1.7413 8.4745
N 1.6618 0.1866 6.0725
N 1.6618 -0.1866 0.8804
N 1.6618 -1.7413 3.2823
N 1.6618 -2.3743 7.2186
N 1.6618 -2.8863 10.1523
N 1.6618 -5.7086 4.2221
```